Calculated PXRD pattern
Compound: Si2Pd
Radiation: Cu Kα (λ = 1.5418 Å)
Structure: a GGA-PBE-relaxed structure
Intensities are scaled so that the largest is 100.

Cell and atoms:
```
data_Si2Pd
_chemical_formula_sum 'Si8 Pd4'
_cell_length_a 3.0841
_cell_length_b 12.1891
_cell_length_c 4.7421
_cell_angle_alpha 90.00
_cell_angle_beta 95.53
_cell_angle_gamma 90.00
_symmetry_space_group_name_H-M 'C 1 2/c 1'
_symmetry_Int_Tables_number 15
loop_
_symmetry_equiv_pos_as_xyz
'x,y,z'
'-x,-y,-z'
'-x,y,-z+1/2'
'x,-y,z+1/2'
'x+1/2,y+1/2,z'
'-x+1/2,-y+1/2,-z'
'-x+1/2,y+1/2,-z+1/2'
'x+1/2,-y+1/2,z+1/2'
loop_
_atom_site_label
_atom_site_type_symbol
_atom_site_fract_x
_atom_site_fract_y
_atom_site_fract_z
Si1 Si 0.0000 0.0355 0.2500
Si2 Si 0.0000 0.3712 0.2500
Pd1 Pd 0.0000 0.2969 0.7500
```

Main lines, low angle first (15° ≤ 2θ ≤ 90°):
- 23.84°, d 3.732, intensity 36, hkl 0 2 1
- 34.07°, d 2.631, intensity 44, hkl 1 1 -1
- 35.05°, d 2.560, intensity 39, hkl 0 4 1
- 36.69°, d 2.449, intensity 100, hkl 1 3 0
- 37.18°, d 2.418, intensity 35, hkl 1 1 1
- 38.13°, d 2.360, intensity 75, hkl 0 0 2
- 40.15°, d 2.246, intensity 52, hkl 1 3 -1
- 41.01°, d 2.201, intensity 19, hkl 0 2 2
- 42.89°, d 2.109, intensity 43, hkl 1 3 1
- 48.80°, d 1.866, intensity 72, hkl 0 6 1
- 51.68°, d 1.769, intensity 38, hkl 1 3 -2
- 56.16°, d 1.638, intensity 28, hkl 1 3 2

Calculated PXRD pattern
Compound: Si23Pd3
Radiation: Cu Kα (λ = 1.5418 Å)
Structure: a GGA-PBE-relaxed structure
Intensities are scaled so that the largest is 100.

Cell and atoms:
```
data_Si23Pd3
_chemical_formula_sum 'Si46 Pd6'
_cell_length_a 10.1130
_cell_length_b 10.1130
_cell_length_c 10.1130
_cell_angle_alpha 90.00
_cell_angle_beta 90.00
_cell_angle_gamma 90.00
_symmetry_space_group_name_H-M 'P m -3 n'
_symmetry_Int_Tables_number 223
_symmetry_space_group_name_Hall '-P 4n 2 3'
loop_
_atom_site_label
_atom_site_type_symbol
_atom_site_fract_x
_atom_site_fract_y
_atom_site_fract_z
Si1 Si 0.0000 0.1158 0.3114
Si2 Si 0.0000 0.2500 0.5000
Si3 Si 0.1836 0.1836 0.1836
Pd1 Pd 0.0000 0.5000 0.2500
```

Main lines, low angle first (15° ≤ 2θ ≤ 90°):
- 19.63°, d 4.523, intensity 37, hkl 2 1 0
- 27.90°, d 3.198, intensity 23, hkl 3 1 0
- 30.62°, d 2.919, intensity 90, hkl 2 2 2
- 31.91°, d 2.805, intensity 89, hkl 3 2 0
- 33.15°, d 2.703, intensity 100, hkl 3 2 1
- 35.51°, d 2.528, intensity 27, hkl 4 0 0
- 45.75°, d 1.983, intensity 16, hkl 5 1 0
- 48.47°, d 1.878, intensity 21, hkl 5 2 0
- 52.78°, d 1.734, intensity 60, hkl 5 3 0
- 54.44°, d 1.686, intensity 20, hkl 6 0 0
- 56.06°, d 1.641, intensity 41, hkl 5 3 2
- 61.51°, d 1.508, intensity 17, hkl 5 4 2

Calculated PXRD pattern
Compound: SiPd4
Radiation: Cu Kα (λ = 1.5418 Å)
Structure: a GGA-PBE-relaxed structure
Intensities are scaled so that the largest is 100.

Cell and atoms:
```
data_SiPd4
_chemical_formula_sum 'Si2 Pd8'
_cell_length_a 4.0249
_cell_length_b 9.8972
_cell_length_c 3.9126
_cell_angle_alpha 90.00
_cell_angle_beta 90.00
_cell_angle_gamma 90.00
_symmetry_space_group_name_H-M 'C m m m'
_symmetry_Int_Tables_number 65
_symmetry_space_group_name_Hall '-C 2 2'
loop_
_atom_site_label
_atom_site_type_symbol
_atom_site_fract_x
_atom_site_fract_y
_atom_site_fract_z
Si1 Si 0.0000 0.0000 0.0000
Pd1 Pd 0.0000 0.1453 0.5000
Pd2 Pd 0.0000 0.3568 0.0000
```

Main lines, low angle first (15° ≤ 2θ ≤ 90°):
- 33.19°, d 2.699, intensity 63, hkl 1 1 1
- 36.31°, d 2.474, intensity 27, hkl 0 4 0
- 42.29°, d 2.137, intensity 100, hkl 1 3 1
- 45.05°, d 2.012, intensity 25, hkl 2 0 0
- 46.42°, d 1.956, intensity 23, hkl 0 0 2
- 59.18°, d 1.561, intensity 13, hkl 2 4 0
- 60.31°, d 1.535, intensity 12, hkl 0 4 2
- 66.68°, d 1.403, intensity 15, hkl 2 0 2
- 75.26°, d 1.263, intensity 16, hkl 1 7 1
- 78.36°, d 1.220, intensity 11, hkl 2 4 2
- 81.21°, d 1.184, intensity 14, hkl 3 3 1
- 83.19°, d 1.161, intensity 14, hkl 1 3 3

Calculated PXRD pattern
Compound: Si2Pd
Radiation: Cu Kα (λ = 1.5418 Å)
Structure: a GGA-PBE-relaxed structure
Intensities are scaled so that the largest is 100.

Cell and atoms:
```
data_Si2Pd
_chemical_formula_sum 'Si4 Pd2'
_cell_length_a 3.6279
_cell_length_b 4.3479
_cell_length_c 5.9870
_cell_angle_alpha 90.00
_cell_angle_beta 93.34
_cell_angle_gamma 90.00
_symmetry_space_group_name_H-M 'P 1 21/m 1'
_symmetry_Int_Tables_number 11
loop_
_symmetry_equiv_pos_as_xyz
'x,y,z'
'-x,-y,-z'
'-x,y+1/2,-z'
'x,-y+1/2,z'
loop_
_atom_site_label
_atom_site_type_symbol
_atom_site_fract_x
_atom_site_fract_y
_atom_site_fract_z
Si1 Si 0.1917 0.2500 0.4714
Si2 Si 0.3032 0.7500 0.2531
Pd1 Pd 0.2500 0.2500 0.0611
```

Main lines, low angle first (15° ≤ 2θ ≤ 90°):
- 28.05°, d 3.181, intensity 24, hkl 1 0 -1
- 29.58°, d 3.020, intensity 37, hkl 1 0 1
- 29.90°, d 2.988, intensity 30, hkl 0 0 2
- 32.17°, d 2.783, intensity 100, hkl 1 1 0
- 34.95°, d 2.567, intensity 27, hkl 1 1 -1
- 36.21°, d 2.481, intensity 46, hkl 1 1 1
- 36.48°, d 2.463, intensity 27, hkl 0 1 2
- 41.54°, d 2.174, intensity 57, hkl 0 2 0
- 43.43°, d 2.084, intensity 65, hkl 1 1 -2
- 45.52°, d 1.993, intensity 51, hkl 1 1 2
- 50.39°, d 1.811, intensity 75, hkl 2 0 0
- 51.85°, d 1.763, intensity 24, hkl 2 0 -1

Number 4 is which compound? Si2Pd